The following is a simulated X-ray powder pattern of BaPuCu2F8. It was derived from the GGA-PBE geometry in Alexandria, using Cu Ka.

Atomic structure:
Lattice parameters (Å, degrees): 5.2338 5.2338 23.6969 90.00 90.00 120.00
Space group R-3 (No. 148, hexagonal axes)
Asymmetric unit:
Ba  0.0000  0.0000  0.0000 x3
Pu  0.0000  0.0000  0.5000 x3
Cu  0.0000  0.0000  0.2617 x6
F  0.0000  0.0000  0.3423 x6
F  0.0081  0.6882  0.1104 x18

Main lines, low angle first (2θ from 10° to 90°):
2theta, d_spacing, intensity
20.98, 4.233, 314
24.73, 3.600, 1000
34.27, 2.617, 481
36.22, 2.480, 436
41.39, 2.181, 245
42.72, 2.117, 263
55.87, 1.646, 230
58.56, 1.576, 225